Ac2SnPd3: computed powder XRD pattern (CuKα), based on a GGA-PBE-relaxed structure.
Intensities are scaled so that the largest is 100.

Peak list (6 most intense, 2θ from 5° to 70°, in order of rising 2θ)
hkl  2θ/deg  Rel. int.
0 1 3  25.77  23
1 1 2  31.26  100
1 0 5  33.38  37
0 2 0  41.81  21
0 1 7  42.12  22
1 2 5  54.52  19

Atomic structure:
a = 4.256 Å, b = 4.321 Å, c = 17.298 Å
α = 90.00°, β = 90.00°, γ = 90.00°
Fractional coordinates of all 12 atoms:
Ac 0.000 0.000 0.000
Ac 0.000 0.500 0.224
Ac 0.500 0.000 0.724
Ac 0.500 0.500 0.500
Sn 0.000 0.000 0.394
Sn 0.500 0.500 0.894
Pd 0.000 0.000 0.552
Pd 0.000 0.500 0.649
Pd 0.000 0.500 0.805
Pd 0.500 0.000 0.149
Pd 0.500 0.000 0.305
Pd 0.500 0.500 0.052



Tb2Tm3Co2: computed powder XRD pattern (CuKα), based on a GGA-PBE-relaxed structure.
Intensities are scaled so that the largest is 100.

Peak list (6 most intense, 2θ from 5° to 70°, in order of rising 2θ)
hkl  2θ/deg  Rel. int.
4 0 -1  30.24  59
2 0 -3  30.51  79
1 1 -2  32.10  63
3 1 -1  33.56  100
2 0 2  33.73  82
3 1 -2  35.54  66

Atomic structure:
a = 11.905 Å, b = 3.612 Å, c = 8.803 Å
α = 90.00°, β = 116.36°, γ = 90.00°
Fractional coordinates of all 14 atoms:
Tb 0.171 0.000 0.303
Tb 0.329 0.500 0.697
Tb 0.671 0.500 0.303
Tb 0.829 0.000 0.697
Tm 0.000 0.500 0.500
Tm 0.119 0.500 0.927
Tm 0.381 0.000 0.073
Tm 0.500 0.000 0.500
Tm 0.619 0.000 0.927
Tm 0.881 0.500 0.073
Co 0.177 0.000 0.741
Co 0.323 0.500 0.259
Co 0.677 0.500 0.741
Co 0.823 0.000 0.259